# CoPO4
Theoretical powder diffraction line list, Cu Ka. Input: a DFT-relaxed cell (PBE+U, OQMD).
Intensities are scaled so that the largest is 100.

The 12 most intense peaks (5° ≤ 2θ ≤ 70°), low angle first:
hkl	two_theta	I/Imax
1 0 0	18.78	100
0 0 2	19.90	56
1 0 1	21.28	65
1 0 2	27.50	25
1 1 0	32.82	38
1 0 3	35.67	26
2 0 1	39.45	13
2 0 3	49.25	10
2 1 0	51.14	10
2 1 1	52.23	13
1 0 5	55.01	14
2 1 3	60.46	12

```
data_CoPO4
_chemical_formula_sum 'Co2 P2 O8'
_cell_length_a 5.4569
_cell_length_b 5.4569
_cell_length_c 8.9219
_cell_angle_alpha 90.00
_cell_angle_beta 90.00
_cell_angle_gamma 120.00
_symmetry_space_group_name_H-M 'P 63 m c'
_symmetry_Int_Tables_number 186
_symmetry_space_group_name_Hall 'P 6c -2c'
loop_
_atom_site_label
_atom_site_type_symbol
_atom_site_fract_x
_atom_site_fract_y
_atom_site_fract_z
Co1 Co 0.3333 0.6667 0.0000
P1 P 0.3333 0.6667 0.3745
O1 O 0.0297 0.5149 0.4315
O2 O 0.3333 0.6667 0.2039
```